[1]
Structure and simulated X-ray powder pattern of VCrP4O14 (a cell relaxed with PBE+U; Cu Kα).
Intensities are scaled so that the largest is 100.

The 8 most intense peaks (2θ from 10° to 90°), sorted by position:
17.16°, I = 100; 22.00°, I = 19; 22.73°, I = 18; 23.00°, I = 17; 25.84°, I = 17; 28.22°, I = 13; 29.69°, I = 22; 30.12°, I = 22

Atomic structure:
```
VCrP4O14
1.0
4.8670 0.0000 0.0000
1.8381 6.7190 0.0000
0.1049 0.0441 8.0823
V Cr P O
1 1 4 14
direct
0.0000 0.0000 0.0000 V
0.5667 0.4611 0.5005 Cr
0.0314 0.6182 0.2644 P
0.1685 0.2268 0.6814 P
0.3995 0.2346 0.1892 P
0.5458 0.8390 0.7624 P
0.0611 0.2001 0.8626 O
0.2070 0.0917 0.1690 O
0.2127 0.6468 0.4079 O
0.2190 0.4532 0.1357 O
0.3409 0.8278 0.9104 O
0.3477 0.3734 0.6846 O
0.3704 0.0067 0.6399 O
0.4936 0.2390 0.3655 O
0.6474 0.6522 0.6647 O
0.6501 0.1799 0.0647 O
0.7631 0.5590 0.3084 O
0.7998 0.9071 0.8293 O
0.9268 0.2610 0.5616 O
0.9560 0.8049 0.1478 O
```

---

[2]
Structure and simulated X-ray powder pattern of Mn3OF5 (a cell relaxed with PBE+U; Cu Kα).
Intensities are scaled so that the largest is 100.

The 8 most intense peaks (2θ from 10° to 90°), sorted by position:
25.51°, I = 100; 25.61°, I = 97; 33.28°, I = 96; 38.09°, I = 41; 50.07°, I = 31; 50.19°, I = 62; 50.31°, I = 30; 63.77°, I = 47

Atomic structure:
```
Mn3OF5
1.0
6.9835 0.0000 0.0000
0.0000 3.2144 0.0000
-3.4306 0.0000 10.4345
Mn O F
6 2 10
direct
0.0000 0.0000 0.0000 Mn
0.1517 0.5000 0.3451 Mn
0.3411 0.0000 0.6826 Mn
0.5103 0.5000 0.0226 Mn
0.6948 0.0000 0.3585 Mn
0.8475 0.5000 0.6976 Mn
0.9419 0.5000 0.8838 O
0.9816 0.0000 0.3485 O
0.0359 0.0000 0.6837 F
0.0681 0.5000 0.1311 F
0.2864 0.5000 0.5519 F
0.3143 0.0000 0.0225 F
0.3589 0.0000 0.3472 F
0.4063 0.5000 0.8167 F
0.6036 0.5000 0.2292 F
0.6497 0.0000 0.6886 F
0.7084 0.0000 0.0250 F
0.7424 0.5000 0.4964 F
```

---

[3]
Structure and simulated X-ray powder pattern of Li3V5O12 (a cell relaxed with PBE+U; Cu Kα).
Intensities are scaled so that the largest is 100.

The 8 most intense peaks (2θ from 10° to 90°), sorted by position:
17.66°, I = 44; 19.00°, I = 20; 26.94°, I = 33; 28.60°, I = 100; 34.20°, I = 23; 35.83°, I = 15; 40.07°, I = 16; 53.15°, I = 24

Atomic structure:
```
Li3V5O12
1.0
5.4162 -4.2663 0.0000
5.4162 4.2663 0.0000
-2.1136 0.0000 5.2438
Li V O
3 5 12
direct
0.0000 0.0000 0.0000 Li
0.3612 0.6388 0.0000 Li
0.8040 0.1960 0.5000 Li
0.1633 0.8367 0.5000 V
0.2513 0.2946 0.4504 V
0.4668 0.0887 0.9806 V
0.7054 0.7487 0.5496 V
0.9113 0.5332 0.0194 V
0.0662 0.3070 0.0796 O
0.0749 0.7135 0.1107 O
0.0894 0.1123 0.4189 O
0.2040 0.5616 0.5640 O
0.2865 0.9251 0.8893 O
0.4055 0.2734 0.8053 O
0.4384 0.7960 0.4360 O
0.4978 0.2035 0.3136 O
0.6930 0.9338 0.9204 O
0.7266 0.5945 0.1947 O
0.7965 0.5022 0.6864 O
0.8877 0.9106 0.5811 O
```